1.
The following is a simulated PXRD pattern of Mn3Cu2SnP6O24. It was derived from a PBE+U-relaxed structure, using λ = 1.5418 Å (Cu Kα).
Peak positions follow from Bragg's law for the DFT cell and can differ from measured ones.

Most intense lines, 2θ = 10–80°, low angle first:
20.6°, 4.302 Å, I = 100
24.3°, 3.668 Å, I = 70
25.4°, 3.512 Å, I = 14
32.1°, 2.791 Å, I = 14
32.9°, 2.720 Å, I = 67
36.2°, 2.484 Å, I = 43
42.0°, 2.150 Å, I = 14
47.3°, 1.923 Å, I = 30
49.7°, 1.834 Å, I = 25
56.6°, 1.626 Å, I = 40
63.0°, 1.475 Å, I = 25
65.1°, 1.434 Å, I = 13

Atomic structure:
```
Mn3Cu2SnP6O24
1.0
4.3021 2.4838 7.0195
-4.3021 2.4838 7.0195
0.0000 -4.9676 7.0195
Mn Cu Sn P O
3 2 1 6 24
direct
0.0000 0.0000 0.0000
0.2135 0.2135 0.2135
0.7147 0.7147 0.7147
0.3533 0.3533 0.3533
0.8569 0.8569 0.8569
0.4992 0.4992 0.4992
0.1032 0.8197 0.3958
0.3118 0.6101 0.9050
0.3958 0.1032 0.8197
0.6101 0.9050 0.3118
0.8197 0.3958 0.1032
0.9050 0.3118 0.6101
0.0366 0.8597 0.2402
0.0986 0.2941 0.4437
0.1147 0.7760 0.9215
0.1704 0.9709 0.3628
0.2402 0.0366 0.8597
0.2682 0.6217 0.4057
0.2941 0.4437 0.0986
0.3374 0.5565 0.7458
0.3628 0.1704 0.9709
0.4057 0.2682 0.6217
0.4437 0.0986 0.2941
0.4747 0.6617 0.8691
0.5565 0.7458 0.3374
0.5936 0.9423 0.8020
0.6217 0.4057 0.2682
0.6617 0.8691 0.4747
0.7458 0.3374 0.5565
0.7760 0.9215 0.1147
0.8020 0.5936 0.9423
0.8597 0.2402 0.0366
0.8691 0.4747 0.6617
0.9215 0.1147 0.7760
0.9423 0.8020 0.5936
0.9709 0.3628 0.1704
```

***

2.
The following is a simulated PXRD pattern of RbFe2CuF8. It was derived from a PBE+U-relaxed structure, using λ = 1.5418 Å (Cu Kα).
Peak positions follow from Bragg's law for the DFT cell and can differ from measured ones.

Most intense lines, 2θ = 10–80°, low angle first:
22.5°, 3.951 Å, I = 100
25.0°, 3.556 Å, I = 57
32.3°, 2.771 Å, I = 75
33.9°, 2.643 Å, I = 18
37.5°, 2.401 Å, I = 16
45.9°, 1.976 Å, I = 12
46.1°, 1.967 Å, I = 62
48.9°, 1.862 Å, I = 29
51.4°, 1.778 Å, I = 16
56.8°, 1.621 Å, I = 13
59.7°, 1.550 Å, I = 31
67.1°, 1.394 Å, I = 10

Atomic structure:
```
RbFe2CuF8
1.0
5.3150 0.0000 0.0000
0.5581 5.2877 0.0000
0.0081 0.0062 6.5075
Rb Fe Cu F
1 2 1 8
direct
0.0000 0.0000 0.0000
0.5000 0.5000 0.2619
0.5000 0.5000 0.7381
0.0000 0.0000 0.5000
0.2226 0.7603 0.7033
0.2229 0.7606 0.2968
0.3370 0.3235 0.5002
0.3563 0.3404 0.0003
0.6437 0.6596 0.9997
0.6630 0.6765 0.4998
0.7771 0.2394 0.7032
0.7774 0.2397 0.2967
```